No. 1
RbLi2B3Sb2O9: simulated X-ray diffraction stick pattern (Cu Kα), based on a cell relaxed with PBE.
Lines closer than 0.1° are merged.

Largest 10 diffraction maxima, low angle first, 10 to 80 degrees two-theta:
hkl 0 0 2, 2θ = 13.5°, rel. 80
hkl 1 0 2, 2θ = 19.8°, rel. 32
hkl 0 1 2, 2θ = 20.8°, rel. 31
hkl 1 1 -1, 2θ = 22.0°, rel. 100
hkl 0 1 3, 2θ = 25.8°, rel. 55
hkl 1 1 3, 2θ = 29.8°, rel. 36
hkl 2 0 -2, 2θ = 30.7°, rel. 81
hkl 2 0 2, 2θ = 31.7°, rel. 36
hkl 1 1 4, 2θ = 35.1°, rel. 33
hkl 1 2 1, 2θ = 35.7°, rel. 46

Atomic structure:
```
data_RbLi2B3Sb2O9
_cell_length_a 6.381
_cell_length_b 5.624
_cell_length_c 13.137
_cell_angle_alpha 90.00
_cell_angle_beta 92.43
_cell_angle_gamma 90.00
_symmetry_space_group_name_H-M 'P 1 2/c 1'
_symmetry_Int_Tables_number 13
loop_
_symmetry_equiv_pos_as_xyz
'x,y,z'
'-x,-y,-z'
'-x,y,-z+1/2'
'x,-y,z+1/2'
loop_
_atom_site_label
_atom_site_fract_x
_atom_site_fract_y
_atom_site_fract_z
Rb1 0.000 0.215 0.250
Li1 0.486 0.115 0.144
B1 0.172 0.162 0.972
B2 0.500 0.390 0.750
Sb1 0.270 0.368 0.539
O1 0.022 0.297 0.914
O2 0.240 0.248 0.067
O3 0.253 0.042 0.433
O4 0.397 0.244 0.674
O5 0.500 0.371 0.250
```

=====

No. 2
LiBS2O8: simulated X-ray diffraction stick pattern (Cu Kα), based on a cell relaxed with PBE.
Lines closer than 0.1° are merged.

Largest 10 diffraction maxima, low angle first, 10 to 80 degrees two-theta:
hkl 0 1 1, 2θ = 13.9°, rel. 61
hkl 1 1 0, 2θ = 14.7°, rel. 57
hkl 0 0 2, 2θ = 20.7°, rel. 33
hkl 0 2 1, 2θ = 21.3°, rel. 100
hkl 2 0 0, 2θ = 22.8°, rel. 91
hkl 1 0 -2, 2θ = 23.3°, rel. 42
hkl 1 2 -1, 2θ = 24.0°, rel. 35
hkl 1 0 2, 2θ = 24.1°, rel. 34
hkl 1 2 1, 2θ = 24.4°, rel. 43
hkl 0 2 3, 2θ = 36.7°, rel. 17

Atomic structure:
```
data_LiBS2O8
_cell_length_a 7.793
_cell_length_b 9.554
_cell_length_c 8.580
_cell_angle_alpha 90.00
_cell_angle_beta 92.32
_cell_angle_gamma 90.00
_symmetry_space_group_name_H-M 'P 1 c 1'
_symmetry_Int_Tables_number 7
loop_
_symmetry_equiv_pos_as_xyz
'x,y,z'
'x,-y,z+1/2'
loop_
_atom_site_label
_atom_site_fract_x
_atom_site_fract_y
_atom_site_fract_z
Li1 0.000 0.124 0.000
Li2 0.484 0.332 0.835
B1 0.496 0.147 0.363
B2 0.981 0.398 0.483
S1 0.335 0.376 0.480
S2 0.408 0.058 0.063
S3 0.847 0.162 0.345
S4 0.883 0.388 0.787
O1 0.154 0.425 0.426
O2 0.227 0.034 0.030
O3 0.337 0.323 0.638
O4 0.360 0.254 0.362
O5 0.447 0.044 0.240
O6 0.450 0.489 0.447
O7 0.480 0.186 0.005
O8 0.513 0.070 0.512
O9 0.660 0.218 0.337
O10 0.714 0.339 0.742
O11 0.852 0.018 0.394
O12 0.858 0.478 0.383
O13 0.923 0.196 0.200
O14 0.933 0.248 0.479
O15 0.976 0.447 0.646
O16 0.997 0.292 0.870
```